Computed powder diffractogram of Tc2Ni15Mo2 for Cu Kα, 1.54184 Å, from the GGA-PBE geometry in Alexandria.
Kinematic intensities with the Lorentz-polarization factor, no thermal factor.

Crystal structure
```
Tc2Ni15Mo2
1.0
4.0318 2.3278 4.1205
-4.0318 2.3278 4.1205
0.0000 -4.6556 4.1205
Tc Ni Mo
2 15 2
direct
0.0976 0.0976 0.0976
0.9024 0.9024 0.9024
0.0000 0.0000 0.5000
0.0000 0.3185 0.6815
0.0000 0.5000 0.0000
0.0000 0.6815 0.3185
0.1645 0.6534 0.6534
0.3185 0.0000 0.6815
0.3185 0.6815 0.0000
0.3466 0.3466 0.8355
0.3466 0.8355 0.3466
0.5000 0.0000 0.0000
0.6534 0.1645 0.6534
0.6534 0.6534 0.1645
0.6815 0.0000 0.3185
0.6815 0.3185 0.0000
0.8355 0.3466 0.3466
0.3012 0.3012 0.3012
0.6988 0.6988 0.6988
```

Peak list (8 most intense, 15 to 90 degrees two-theta, in order of falling intensity)
| d [Å] | Position (°2θ) | Rel. int. |
| --- | --- | --- |
| 2.027 | 44.71 | 100.0 |
| 2.017 | 44.95 | 97.9 |
| 2.329 | 38.67 | 76.2 |
| 1.811 | 50.39 | 64.3 |
| 1.835 | 49.70 | 36.5 |
| 1.164 | 82.96 | 28.2 |
| 2.060 | 43.95 | 27.1 |
| 1.344 | 69.99 | 20.9 |